Structure and theoretical PXRD pattern of La5In11Ni6 (a PBE-relaxed structure; Cu Kα (λ = 1.5418 Å)).
No peak broadening, texture or thermal motion is included.

Crystal structure
Unit cell a=14.811 b=14.815 c=4.495 alpha=90.00 beta=90.00 gamma=90.00
Space group Cmmm (No. 65)
One atom of each set of equivalent atoms:
La 0.000 0.000 0.000 [2 per cell]
La 0.138 0.326 0.500 [8 per cell]
In 0.000 0.226 0.000 [4 per cell]
In 0.000 0.500 0.500 [2 per cell]
In 0.162 0.500 0.000 [4 per cell]
In 0.191 0.155 0.000 [8 per cell]
In 0.193 0.000 0.500 [4 per cell]
Ni 0.000 0.408 0.000 [4 per cell]
Ni 0.083 0.140 0.500 [8 per cell]

The 8 most intense peaks (10 to 80 degrees two-theta), by angle:
2θ 31.30, I = 22; 2θ 32.47, I = 100; 2θ 33.61, I = 31; 2θ 36.39, I = 33; 2θ 40.12, I = 35; 2θ 40.80, I = 17; 2θ 55.27, I = 19; 2θ 63.02, I = 18


Structure and theoretical PXRD pattern of YThGaRh (a PBE-relaxed structure; Cu Kα (λ = 1.5418 Å)).
No peak broadening, texture or thermal motion is included.

Crystal structure
Unit cell a=3.907 b=4.205 c=11.529 alpha=90.00 beta=90.00 gamma=90.00
Space group Amm2 (No. 38)
One atom of each set of equivalent atoms:
Y 0.000 0.000 0.000 [2 per cell]
Th 0.500 0.000 0.278 [2 per cell]
Ga 0.500 0.000 0.570 [2 per cell]
Rh 0.000 0.000 0.739 [2 per cell]

The 8 most intense peaks (10 to 80 degrees two-theta), by angle:
2θ 15.37, I = 36; 2θ 31.03, I = 35; 2θ 31.54, I = 30; 2θ 32.23, I = 100; 2θ 39.25, I = 65; 2θ 43.02, I = 23; 2θ 46.49, I = 18; 2θ 50.85, I = 15


Structure and theoretical PXRD pattern of AlPbCl5 (a PBE-relaxed structure; Cu Kα (λ = 1.5418 Å)).
No peak broadening, texture or thermal motion is included.

Crystal structure
Unit cell a=7.338 b=7.344 c=10.403 alpha=108.48 beta=109.74 gamma=94.14
Space group P-1 (No. 2)
One atom of each set of equivalent atoms:
Al 0.157 0.408 0.250 [2 per cell]
Pb 0.000 0.000 0.500 [1 per cell]
Pb 0.500 0.000 0.000 [1 per cell]
Cl 0.117 0.739 0.935 [2 per cell]
Cl 0.179 0.722 0.321 [2 per cell]
Cl 0.195 0.318 0.435 [2 per cell]
Cl 0.344 0.094 0.750 [2 per cell]
Cl 0.401 0.357 0.179 [2 per cell]

The 8 most intense peaks (10 to 80 degrees two-theta), by angle:
2θ 12.98, I = 54; 2θ 17.74, I = 28; 2θ 19.06, I = 100; 2θ 28.44, I = 20; 2θ 30.10, I = 21; 2θ 31.79, I = 21; 2θ 38.66, I = 15; 2θ 41.13, I = 17


Structure and theoretical PXRD pattern of LaHo5Te6 (a PBE-relaxed structure; Cu Kα (λ = 1.5418 Å)).
No peak broadening, texture or thermal motion is included.

Crystal structure
Unit cell a=7.585 b=13.140 c=7.572 alpha=90.00 beta=109.47 gamma=90.00
Space group C2/m (No. 12)
One atom of each set of equivalent atoms:
La 0.000 0.000 0.000 [2 per cell]
Ho 0.000 0.155 0.500 [4 per cell]
Ho 0.000 0.332 0.000 [4 per cell]
Ho 0.000 0.500 0.500 [2 per cell]
Te 0.236 0.500 0.248 [4 per cell]
Te 0.240 0.326 0.740 [8 per cell]

The 8 most intense peaks (10 to 80 degrees two-theta), by angle:
2θ 28.85, I = 100; 2θ 41.25, I = 75; 2θ 51.12, I = 26; 2θ 59.76, I = 12; 2θ 67.68, I = 27; 2θ 67.75, I = 6; 2θ 75.17, I = 18; 2θ 75.29, I = 6


Structure and theoretical PXRD pattern of Bi4Pt4Pb3 (a PBE-relaxed structure; Cu Kα (λ = 1.5418 Å)).
No peak broadening, texture or thermal motion is included.

Crystal structure
Unit cell a=4.270 b=7.968 c=16.273 alpha=90.00 beta=90.00 gamma=90.00
Space group Immm (No. 71)
One atom of each set of equivalent atoms:
Bi 0.000 0.212 0.168 [8 per cell]
Pt 0.000 0.306 0.000 [4 per cell]
Pt 0.000 0.500 0.284 [4 per cell]
Pb 0.000 0.000 0.405 [4 per cell]
Pb 0.000 0.500 0.500 [2 per cell]

The 8 most intense peaks (10 to 80 degrees two-theta), by angle:
2θ 29.65, I = 30; 2θ 31.19, I = 100; 2θ 32.41, I = 53; 2θ 37.71, I = 17; 2θ 40.22, I = 26; 2θ 41.58, I = 43; 2θ 42.33, I = 33; 2θ 59.82, I = 17


Structure and theoretical PXRD pattern of AcMg5Zn2 (a PBE-relaxed structure; Cu Kα (λ = 1.5418 Å)).
No peak broadening, texture or thermal motion is included.

Crystal structure
Unit cell a=4.315 b=8.326 c=10.676 alpha=90.00 beta=90.00 gamma=90.00
Space group Immm (No. 71)
One atom of each set of equivalent atoms:
Ac 0.000 0.000 0.000 [2 per cell]
Mg 0.000 0.188 0.346 [8 per cell]
Mg 0.000 0.500 0.000 [2 per cell]
Zn 0.000 0.500 0.261 [4 per cell]

The 8 most intense peaks (10 to 80 degrees two-theta), by angle:
2θ 13.49, I = 87; 2θ 21.34, I = 49; 2θ 27.23, I = 32; 2θ 28.68, I = 100; 2θ 31.00, I = 61; 2θ 32.62, I = 49; 2θ 40.13, I = 38; 2θ 42.26, I = 47


Structure and theoretical PXRD pattern of MoWSeS3 (a PBE-relaxed structure; Cu Kα (λ = 1.5418 Å)).
No peak broadening, texture or thermal motion is included.

Crystal structure
Unit cell a=3.2222 b=3.2222 c=30.8307 alpha=90.00 beta=90.00 gamma=120.00
Space group P3m1 (No. 156)
One atom of each set of equivalent atoms:
Mo 0.0000 0.0000 0.0000 [1 per cell]
Mo 0.3333 0.6667 0.7059 [1 per cell]
W 0.0000 0.0000 0.4644 [1 per cell]
W 0.3333 0.6667 0.2305 [1 per cell]
Se 0.3333 0.6667 0.4085 [1 per cell]
Se 0.3333 0.6667 0.5202 [1 per cell]
S 0.0000 0.0000 0.1799 [1 per cell]
S 0.0000 0.0000 0.2812 [1 per cell]
S 0.0000 0.0000 0.6555 [1 per cell]
S 0.0000 0.0000 0.7563 [1 per cell]
S 0.3333 0.6667 0.0504 [1 per cell]
S 0.3333 0.6667 0.9496 [1 per cell]

The 8 most intense peaks (10 to 80 degrees two-theta), by angle:
2θ 11.48, I = 100; 2θ 14.36, I = 12; 2θ 32.08, I = 16; 2θ 36.65, I = 28; 2θ 38.18, I = 19; 2θ 43.76, I = 15; 2θ 45.89, I = 21; 2θ 57.19, I = 13


Structure and theoretical PXRD pattern of KPClO3 (a PBE-relaxed structure; Cu Kα (λ = 1.5418 Å)).
No peak broadening, texture or thermal motion is included.

Crystal structure
Unit cell a=9.194 b=12.210 c=4.724 alpha=90.00 beta=95.08 gamma=90.00
Space group C2/c (No. 15)
One atom of each set of equivalent atoms:
K 0.000 0.244 0.250 [4 per cell]
P 0.000 0.459 0.750 [4 per cell]
Cl 0.000 0.016 0.750 [4 per cell]
O 0.000 0.334 0.750 [4 per cell]
O 0.113 0.472 0.460 [8 per cell]

The 8 most intense peaks (10 to 80 degrees two-theta), by angle:
2θ 12.08, I = 27; 2θ 14.51, I = 27; 2θ 19.38, I = 100; 2θ 29.26, I = 22; 2θ 30.09, I = 13; 2θ 31.18, I = 21; 2θ 35.34, I = 16; 2θ 41.58, I = 12